Diffraction record for La3ZnGe6Pd2. The PXRD pattern is simulated, not measured: it uses a PBE-relaxed structure and Cu Kα (weighted mean of Kα1 and Kα2).

Peak list (12 most intense, 5° ≤ 2θ ≤ 70°, by angle)
26.99°, rel. 500; 29.55°, rel. 1000; 31.51°, rel. 395; 35.88°, rel. 878; 35.99°, rel. 239; 36.45°, rel. 980; 40.44°, rel. 711; 43.74°, rel. 286; 50.88°, rel. 237; 57.02°, rel. 320; 61.33°, rel. 403; 64.26°, rel. 249

abc: 6.046 6.046 8.517
angles: 90.00 90.00 120.00
Sites, in units of the cell vectors:
La1 0.000 0.000 0.000
La2 0.333 0.667 0.623
La3 0.667 0.333 0.377
Zn1 0.000 0.000 0.500
Ge1 0.190 0.379 0.280
Ge2 0.190 0.810 0.280
Ge3 0.379 0.190 0.720
Ge4 0.621 0.810 0.280
Ge5 0.810 0.190 0.720
Ge6 0.810 0.621 0.720
Pd1 0.333 0.667 0.028
Pd2 0.667 0.333 0.972